Calculated powder X-ray diffraction pattern
Compound: RbHgMo2O8
Radiation: Cu Kα X-rays
Structure: a PBE+U-relaxed structure

Cell and atoms:
```
data_RbHgMo2O8
_cell_length_a 7.819
_cell_length_b 7.819
_cell_length_c 7.156
_cell_angle_alpha 90.00
_cell_angle_beta 90.00
_cell_angle_gamma 90.00
_space_group_name_H-M_alt 'I -4 m 2'
_space_group_IT_number 119
_space_group_name_Hall 'I -4 -2'
loop_
_atom_site_label
_atom_site_fract_x
_atom_site_fract_y
_atom_site_fract_z
Rb1 0.000 0.000 0.000
Hg1 0.000 0.500 0.750
Mo1 0.000 0.000 0.500
Mo2 0.000 0.500 0.250
O1 0.000 0.190 0.644
O2 0.000 0.323 0.092
```

Main lines, low angle first (10° ≤ 2θ ≤ 90°):
2theta	I/Imax	index
22.7	100.0	2 0 0
29.7	86.0	1 1 2
32.4	24.4	2 2 0
44.5	63.6	3 1 2
46.5	16.7	4 0 0
52.3	15.6	4 2 0
56.1	17.4	3 3 2
56.6	14.1	2 0 4
61.8	14.2	2 2 4
66.3	17.3	5 1 2